Theoretical powder X-ray diffraction pattern
Compound: HoAlIn2Pd4
Radiation: copper Kα
Structure: a DFT-relaxed cell (PBE, Alexandria)
Lines closer than 0.1° are merged.

Atomic structure:
```
data_HoAlIn2Pd4
_cell_length_a 4.6774
_cell_length_b 4.6774
_cell_length_c 22.7657
_cell_angle_alpha 90.00
_cell_angle_beta 90.00
_cell_angle_gamma 120.00
_space_group_name_H-M_alt 'R -3 m'
_space_group_IT_number 166
_space_group_name_Hall '-R 3 2"'
loop_
_atom_site_label
_atom_site_type_symbol
_atom_site_fract_x
_atom_site_fract_y
_atom_site_fract_z
Ho1 Ho 0.0000 0.0000 0.0000
Al1 Al 0.0000 0.0000 0.5000
In1 In 0.0000 0.0000 0.2524
Pd1 Pd 0.0000 0.0000 0.1305
Pd2 Pd 0.0000 0.0000 0.3881
```

Main lines, by angle (2θ from 10° to 90°):
2θ (°)  I/Imax
35.39  156
38.49  1000
38.67  864
55.70  293
69.63  169
69.75  295